This entry pairs a crystal structure of Li2Fe2F7 with its simulated powder XRD pattern. Radiation: CuKα. Structure: DFT lattice parameters and positions (GGA+U).

Main lines, by angle (2θ = 10–90°):
- 17.14°, I 100
- 23.68°, I 80
- 24.16°, I 35
- 24.79°, I 32
- 27.81°, I 23
- 29.77°, I 29
- 33.39°, I 28
- 40.91°, I 24

Atomic structure:
```
Li2Fe2F7
1.0
3.937 -3.684 0.000
3.937 3.684 0.000
-3.234 0.000 10.346
Li Fe F
4 4 14
Direct
0.072 0.231 0.470
0.231 0.072 0.970
0.769 0.928 0.030
0.928 0.769 0.530
0.034 0.466 0.230
0.466 0.034 0.730
0.534 0.966 0.270
0.966 0.534 0.770
0.031 0.761 0.936
0.120 0.501 0.623
0.198 0.248 0.823
0.239 0.969 0.564
0.248 0.198 0.323
0.334 0.666 0.250
0.499 0.880 0.877
0.501 0.120 0.123
0.666 0.334 0.750
0.752 0.802 0.677
0.761 0.031 0.436
0.802 0.752 0.177
0.880 0.499 0.377
0.969 0.239 0.064
```